Diffraction record for Ba4ErPd3O12. The X-ray powder pattern is computed, not measured: it uses the GGA-PBE geometry in Alexandria and Cu Kα, 1.54184 Å.
No peak broadening, texture or thermal motion is included.

Crystal structure
a b c (Å): 7.2192 7.2192 7.2192
angles (deg): 109.47 109.47 109.47
Positions (direct):
Ba: 0.0000 0.0000 0.5000
Ba: 0.0000 0.5000 0.0000
Ba: 0.5000 0.0000 0.0000
Ba: 0.5000 0.5000 0.5000
Er: 0.0000 0.0000 0.0000
Pd: 0.0000 0.5000 0.5000
Pd: 0.5000 0.0000 0.5000
Pd: 0.5000 0.5000 0.0000
O: 0.0000 0.2612 0.2612
O: 0.0000 0.7388 0.7388
O: 0.2500 0.5000 0.7500
O: 0.2500 0.7500 0.5000
O: 0.2612 0.0000 0.2612
O: 0.2612 0.2612 0.0000
O: 0.5000 0.2500 0.7500
O: 0.5000 0.7500 0.2500
O: 0.7388 0.0000 0.7388
O: 0.7388 0.7388 0.0000
O: 0.7500 0.2500 0.5000
O: 0.7500 0.5000 0.2500

Top 9 peaks for 5 to 70 degrees two-theta, by intensity:
d/Å  I_rel
2.947  100
1.702  40
2.084  30
1.474  18
2.406  2
5.894  1
3.403  1
2.228  1
2.636  1


Diffraction record for Ba2ErRuO6. The X-ray powder pattern is computed, not measured: it uses the GGA-PBE geometry in Alexandria and Cu Kα, 1.54184 Å.
No peak broadening, texture or thermal motion is included.

Crystal structure
a b c (Å): 5.9453 5.9453 5.9453
angles (deg): 60.00 60.00 60.00
Positions (direct):
Ba: 0.2500 0.2500 0.2500
Ba: 0.7500 0.7500 0.7500
Er: 0.0000 0.0000 0.0000
Ru: 0.5000 0.5000 0.5000
O: 0.2637 0.2637 0.7363
O: 0.2637 0.7363 0.2637
O: 0.2637 0.7363 0.7363
O: 0.7363 0.2637 0.2637
O: 0.7363 0.2637 0.7363
O: 0.7363 0.7363 0.2637

Top 10 peaks for 5 to 70 degrees two-theta, by intensity:
d/Å  I_rel
2.973  100
1.716  40
2.102  29
1.486  18
4.854  2
2.535  2
1.929  1
2.427  1
4.204  1
1.618  1


Diffraction record for BaErSiO4. The X-ray powder pattern is computed, not measured: it uses the GGA-PBE geometry in Alexandria and Cu Kα, 1.54184 Å.
No peak broadening, texture or thermal motion is included.

Crystal structure
a b c (Å): 6.0824 6.0824 6.0824
angles (deg): 60.00 60.00 60.00
Positions (direct):
Ba: 0.0000 0.0000 0.0000
Er: 0.7500 0.7500 0.7500
Si: 0.5000 0.5000 0.5000
O: 0.1683 0.6106 0.6106
O: 0.6106 0.1683 0.6106
O: 0.6106 0.6106 0.1683
O: 0.6106 0.6106 0.6106

Top 10 peaks for 5 to 70 degrees two-theta, by intensity:
d/Å  I_rel
3.041  100
4.966  79
2.594  42
1.756  39
1.973  25
1.360  17
1.655  16
1.521  16
1.454  15
2.150  12


Diffraction record for Ba2SrEr3O8. The X-ray powder pattern is computed, not measured: it uses the GGA-PBE geometry in Alexandria and Cu Kα, 1.54184 Å.
No peak broadening, texture or thermal motion is included.

Crystal structure
a b c (Å): 7.3432 7.3432 7.3432
angles (deg): 57.02 57.02 57.02
Positions (direct):
Ba: 0.0000 0.0000 0.0000
Ba: 0.3754 0.3754 0.3754
Sr: 0.6192 0.6192 0.6192
Er: 0.0000 0.0000 0.5012
Er: 0.0000 0.5012 0.0000
Er: 0.5012 0.0000 0.0000
O: 0.2039 0.7475 0.7475
O: 0.2303 0.2303 0.2303
O: 0.2507 0.2507 0.8069
O: 0.2507 0.8069 0.2507
O: 0.7475 0.2039 0.7475
O: 0.7475 0.7475 0.2039
O: 0.7671 0.7671 0.7671
O: 0.8069 0.2507 0.2507

Top 10 peaks for 5 to 70 degrees two-theta, by intensity:
d/Å  I_rel
3.042  100
2.995  62
3.145  57
2.882  56
1.832  49
1.752  46
2.533  42
1.946  33
6.127  32
5.764  29


Diffraction record for BaSrEr4O8. The X-ray powder pattern is computed, not measured: it uses the GGA-PBE geometry in Alexandria and Cu Kα, 1.54184 Å.
No peak broadening, texture or thermal motion is included.

Crystal structure
a b c (Å): 3.4210 12.0276 10.2789
angles (deg): 90.00 90.00 90.00
Positions (direct):
Ba: 0.0000 0.0997 0.0000
Ba: 0.0000 0.9003 0.5000
Sr: 0.5000 0.3984 0.5076
Sr: 0.5000 0.6016 0.0076
Er: 0.0000 0.1434 0.3284
Er: 0.0000 0.3624 0.8308
Er: 0.0000 0.6376 0.3308
Er: 0.0000 0.8566 0.8284
Er: 0.5000 0.1443 0.6747
Er: 0.5000 0.3659 0.1810
Er: 0.5000 0.6341 0.6810
Er: 0.5000 0.8557 0.1747
O: 0.0000 0.0337 0.7339
O: 0.0000 0.2735 0.6324
O: 0.0000 0.3299 0.3304
O: 0.0000 0.4196 0.0441
O: 0.0000 0.5804 0.5441
O: 0.0000 0.6701 0.8304
O: 0.0000 0.7265 0.1324
O: 0.0000 0.9663 0.2339
O: 0.5000 0.0930 0.4629
O: 0.5000 0.1800 0.1850
O: 0.5000 0.2347 0.8691
O: 0.5000 0.4668 0.7708
O: 0.5000 0.5332 0.2708
O: 0.5000 0.7653 0.3691
O: 0.5000 0.8200 0.6850
O: 0.5000 0.9070 0.9629

Top 10 peaks for 5 to 70 degrees two-theta, by intensity:
d/Å  I_rel
2.854  100
2.977  86
3.007  41
2.068  28
1.712  23
1.488  23
1.483  22
1.696  20
2.055  19
1.691  14


Diffraction record for Ba2ErTa3O12. The X-ray powder pattern is computed, not measured: it uses the GGA-PBE geometry in Alexandria and Cu Kα, 1.54184 Å.
No peak broadening, texture or thermal motion is included.

Crystal structure
a b c (Å): 7.2055 7.2055 7.2055
angles (deg): 63.67 63.67 63.67
Positions (direct):
Ba: 0.1297 0.1297 0.1297
Ba: 0.8703 0.8703 0.8703
Er: 0.5000 0.5000 0.5000
Ta: 0.0000 0.5000 0.5000
Ta: 0.5000 0.0000 0.5000
Ta: 0.5000 0.5000 0.0000
O: 0.1238 0.6125 0.6125
O: 0.2081 0.2081 0.5836
O: 0.2081 0.5836 0.2081
O: 0.3875 0.3875 0.8762
O: 0.3875 0.8762 0.3875
O: 0.4164 0.7919 0.7919
O: 0.5836 0.2081 0.2081
O: 0.6125 0.1238 0.6125
O: 0.6125 0.6125 0.1238
O: 0.7919 0.4164 0.7919
O: 0.7919 0.7919 0.4164
O: 0.8762 0.3875 0.3875

Top 10 peaks for 5 to 70 degrees two-theta, by intensity:
d/Å  I_rel
3.165  100
3.073  67
3.233  62
1.900  47
3.041  36
6.146  35
1.796  34
2.049  33
2.857  29
1.582  25